(1)
Structure and simulated X-ray diffraction stick pattern of Tl3In3Sn (the GGA-PBE geometry in Alexandria; Cu Kα X-rays).
Lines closer than 0.1° are merged.

Peak list (10 most intense, 2θ from 10° to 90°, in order of rising 2θ)
| index | d (Å) | 2θ/deg | I/Imax |
| --- | --- | --- | --- |
| 2 0 0 | 2.779 | 32.21 | 100 |
| 1 2 -1 | 2.772 | 32.30 | 50 |
| 0 3 2 | 2.728 | 32.83 | 44 |
| 1 -2 1 | 2.683 | 33.40 | 47 |
| -1 1 3 | 2.666 | 33.62 | 44 |
| 2 3 2 | 2.025 | 44.75 | 18 |
| 0 1 -4 | 1.903 | 47.81 | 16 |
| -2 3 2 | 1.879 | 48.43 | 15 |
| 1 5 1 | 1.604 | 57.47 | 15 |
| 0 4 -2 | 1.563 | 59.12 | 17 |

Cell and atoms:
```
data_Tl3In3Sn
_chemical_formula_sum 'Tl6 In6 Sn2'
_cell_length_a 5.581
_cell_length_b 8.432
_cell_length_c 9.358
_cell_angle_alpha 67.45
_cell_angle_beta 87.26
_cell_angle_gamma 85.91
_space_group_name_H-M_alt 'P -1'
_space_group_IT_number 2
loop_
_space_group_symop_operation_xyz
'x,y,z'
'-x,-y,-z'
loop_
_atom_site_label
_atom_site_type_symbol
_atom_site_fract_x
_atom_site_fract_y
_atom_site_fract_z
Tl1 Tl 0.235 0.349 0.470
Tl2 Tl 0.242 0.057 0.878
Tl3 Tl 0.256 0.199 0.177
In1 In 0.235 0.623 0.044
In2 In 0.251 0.911 0.585
In3 In 0.268 0.770 0.308
Sn1 Sn 0.265 0.499 0.761
```

***

(2)
Structure and simulated X-ray diffraction stick pattern of Tl9InSn2 (the GGA-PBE geometry in Alexandria; Cu Kα X-rays).
Lines closer than 0.1° are merged.

Peak list (10 most intense, 2θ from 10° to 90°, in order of rising 2θ)
| index | d (Å) | 2θ/deg | I/Imax |
| --- | --- | --- | --- |
| 1 1 3 | 2.848 | 31.41 | 100 |
| 0 0 6 | 2.565 | 34.98 | 19 |
| 2 0 0 | 2.422 | 37.13 | 32 |
| 2 0 6 | 1.761 | 51.93 | 25 |
| 2 2 0 | 1.712 | 53.52 | 12 |
| 1 1 9 | 1.530 | 60.51 | 15 |
| 3 1 3 | 1.468 | 63.38 | 28 |
| 2 2 6 | 1.424 | 65.55 | 12 |
| 3 1 9 | 1.141 | 85.02 | 12 |
| 3 3 3 | 1.114 | 87.56 | 6 |

Cell and atoms:
```
data_Tl9InSn2
_chemical_formula_sum 'Tl9 In1 Sn2'
_cell_length_a 4.843
_cell_length_b 4.843
_cell_length_c 15.391
_cell_angle_alpha 90.00
_cell_angle_beta 90.00
_cell_angle_gamma 90.00
_space_group_name_H-M_alt 'P 4/m m m'
_space_group_IT_number 123
_space_group_name_Hall '-P 4 2'
loop_
_atom_site_label
_atom_site_type_symbol
_atom_site_fract_x
_atom_site_fract_y
_atom_site_fract_z
Tl1 Tl 0.000 0.000 0.000
Tl2 Tl 0.000 0.000 0.337
Tl3 Tl 0.000 0.500 0.172
Tl4 Tl 0.000 0.500 0.500
In1 In 0.500 0.500 0.000
Sn1 Sn 0.500 0.500 0.332
```

***

(3)
Structure and simulated X-ray diffraction stick pattern of Tl2In5Sn5 (the GGA-PBE geometry in Alexandria; Cu Kα X-rays).
Lines closer than 0.1° are merged.

Peak list (10 most intense, 2θ from 10° to 90°, in order of rising 2θ)
| index | d (Å) | 2θ/deg | I/Imax |
| --- | --- | --- | --- |
| 3 1 1 | 2.797 | 32.00 | 100 |
| 0 2 0 | 2.464 | 36.46 | 18 |
| 0 0 4 | 2.421 | 37.13 | 17 |
| 6 0 -2 | 2.384 | 37.74 | 16 |
| 0 2 4 | 1.727 | 53.03 | 12 |
| 6 2 -2 | 1.713 | 53.48 | 12 |
| 3 3 1 | 1.479 | 62.83 | 15 |
| 3 1 5 | 1.460 | 63.74 | 14 |
| 9 1 -1 | 1.444 | 64.55 | 13 |
| 6 2 2 | 1.399 | 66.90 | 12 |

Cell and atoms:
```
data_Tl2In5Sn5
_chemical_formula_sum 'Tl4 In10 Sn10'
_cell_length_a 14.302
_cell_length_b 4.928
_cell_length_c 10.793
_cell_angle_alpha 90.00
_cell_angle_beta 116.19
_cell_angle_gamma 90.00
_space_group_name_H-M_alt 'C 1 2/m 1'
_space_group_IT_number 12
loop_
_space_group_symop_operation_xyz
'x,y,z'
'-x,-y,-z'
'-x,y,-z'
'x,-y,z'
'x+1/2,y+1/2,z'
'-x+1/2,-y+1/2,-z'
'-x+1/2,y+1/2,-z'
'x+1/2,-y+1/2,z'
loop_
_atom_site_label
_atom_site_type_symbol
_atom_site_fract_x
_atom_site_fract_y
_atom_site_fract_z
Tl1 Tl 0.085 0.000 0.250
In1 In 0.000 0.000 0.500
In2 In 0.166 0.000 0.995
In3 In 0.247 0.000 0.744
Sn1 Sn 0.000 0.500 0.000
Sn2 Sn 0.087 0.500 0.751
Sn3 Sn 0.165 0.500 0.503
```

***

(4)
Structure and simulated X-ray diffraction stick pattern of Tl3InSn8 (the GGA-PBE geometry in Alexandria; Cu Kα X-rays).
Lines closer than 0.1° are merged.

Peak list (10 most intense, 2θ from 10° to 90°, in order of rising 2θ)
| index | d (Å) | 2θ/deg | I/Imax |
| --- | --- | --- | --- |
| 1 1 0 | 3.202 | 27.87 | 42 |
| 0 1 8 | 3.140 | 28.43 | 40 |
| 2 0 2 | 2.728 | 32.83 | 54 |
| 1 1 6 | 2.708 | 33.08 | 100 |
| 1 0 10 | 2.671 | 33.56 | 53 |
| 0 2 4 | 2.605 | 34.42 | 47 |
| 3 0 6 | 1.737 | 52.70 | 27 |
| 2 1 10 | 1.727 | 53.03 | 30 |
| 2 2 0 | 1.601 | 57.58 | 32 |
| 0 2 16 | 1.570 | 58.82 | 30 |

Cell and atoms:
```
data_Tl3InSn8
_chemical_formula_sum 'Tl9 In3 Sn24'
_cell_length_a 6.4032
_cell_length_b 6.4032
_cell_length_c 30.4722
_cell_angle_alpha 90.00
_cell_angle_beta 90.00
_cell_angle_gamma 120.00
_space_group_name_H-M_alt 'R 3 m'
_space_group_IT_number 160
_space_group_name_Hall 'R 3 -2"'
loop_
_atom_site_label
_atom_site_type_symbol
_atom_site_fract_x
_atom_site_fract_y
_atom_site_fract_z
Tl1 Tl 0.0000 0.0000 0.0000
Tl2 Tl 0.0000 0.0000 0.1233
Tl3 Tl 0.0000 0.0000 0.6229
In1 In 0.0000 0.0000 0.5006
Sn1 Sn 0.0000 0.0000 0.3118
Sn2 Sn 0.0000 0.0000 0.8117
Sn3 Sn 0.0014 0.5007 0.0623
Sn4 Sn 0.1671 0.3342 0.8945
```

***

(5)
Structure and simulated X-ray diffraction stick pattern of TlIn4Sn2 (the GGA-PBE geometry in Alexandria; Cu Kα X-rays).
Lines closer than 0.1° are merged.

Peak list (10 most intense, 2θ from 10° to 90°, in order of rising 2θ)
| index | d (Å) | 2θ/deg | I/Imax |
| --- | --- | --- | --- |
| 1 0 1 | 4.457 | 19.92 | 16 |
| 0 1 5 | 3.449 | 25.83 | 20 |
| 1 0 7 | 2.914 | 30.68 | 18 |
| 0 1 8 | 2.684 | 33.39 | 98 |
| 1 1 0 | 2.610 | 34.36 | 100 |
| 2 0 8 | 1.871 | 48.68 | 40 |
| 1 0 16 | 1.564 | 59.05 | 14 |
| 1 2 8 | 1.521 | 60.93 | 38 |
| 3 0 0 | 1.507 | 61.54 | 18 |
| 3 1 8 | 1.174 | 82.13 | 15 |

Cell and atoms:
```
data_TlIn4Sn2
_chemical_formula_sum 'Tl3 In12 Sn6'
_cell_length_a 5.2199
_cell_length_b 5.2199
_cell_length_c 26.6775
_cell_angle_alpha 90.00
_cell_angle_beta 90.00
_cell_angle_gamma 120.00
_space_group_name_H-M_alt 'R -3 m'
_space_group_IT_number 166
_space_group_name_Hall '-R 3 2"'
loop_
_atom_site_label
_atom_site_type_symbol
_atom_site_fract_x
_atom_site_fract_y
_atom_site_fract_z
Tl1 Tl 0.0000 0.0000 0.0000
In1 In 0.0000 0.0000 0.1327
In2 In 0.0000 0.0000 0.3847
Sn1 Sn 0.0000 0.0000 0.2506
```

***

(6)
Structure and simulated X-ray diffraction stick pattern of TlIn10Sn2 (the GGA-PBE geometry in Alexandria; Cu Kα X-rays).
Lines closer than 0.1° are merged.

Peak list (10 most intense, 2θ from 10° to 90°, in order of rising 2θ)
| index | d (Å) | 2θ/deg | I/Imax |
| --- | --- | --- | --- |
| 1 -1 2 | 3.140 | 28.42 | 38 |
| 2 0 0 | 2.786 | 32.12 | 31 |
| 2 0 2 | 2.754 | 32.51 | 67 |
| 0 2 2 | 2.741 | 32.67 | 100 |
| 2 2 2 | 2.731 | 32.79 | 52 |
| 1 0 3 | 2.714 | 33.01 | 57 |
| 0 2 -2 | 2.700 | 33.18 | 62 |
| 2 -1 1 | 2.475 | 36.29 | 47 |
| 2 1 3 | 2.443 | 36.80 | 39 |
| 2 -2 4 | 1.571 | 58.79 | 29 |

Cell and atoms:
```
data_TlIn10Sn2
_chemical_formula_sum 'Tl1 In10 Sn2'
_cell_length_a 6.384
_cell_length_b 8.269
_cell_length_c 8.295
_cell_angle_alpha 81.35
_cell_angle_beta 68.15
_cell_angle_gamma 68.41
_space_group_name_H-M_alt 'P -1'
_space_group_IT_number 2
loop_
_space_group_symop_operation_xyz
'x,y,z'
'-x,-y,-z'
loop_
_atom_site_label
_atom_site_type_symbol
_atom_site_fract_x
_atom_site_fract_y
_atom_site_fract_z
Tl1 Tl 0.000 0.000 0.000
In1 In 0.000 0.500 0.000
In2 In 0.004 0.351 0.648
In3 In 0.285 0.216 0.214
In4 In 0.354 0.644 0.644
In5 In 0.499 0.799 0.202
In6 In 0.500 0.500 0.000
Sn1 Sn 0.000 0.000 0.500
Sn2 Sn 0.500 0.000 0.500
```

***

(7)
Structure and simulated X-ray diffraction stick pattern of Tl2In5Sn4 (the GGA-PBE geometry in Alexandria; Cu Kα X-rays).
Lines closer than 0.1° are merged.

Peak list (10 most intense, 2θ from 10° to 90°, in order of rising 2θ)
| index | d (Å) | 2θ/deg | I/Imax |
| --- | --- | --- | --- |
| 2 1 2 | 2.781 | 32.19 | 100 |
| -1 2 1 | 2.769 | 32.33 | 88 |
| 1 2 0 | 2.694 | 33.26 | 85 |
| 1 -1 2 | 2.673 | 33.53 | 85 |
| 2 0 -1 | 2.664 | 33.64 | 80 |
| 0 1 3 | 2.656 | 33.75 | 81 |
| 1 3 3 | 1.967 | 46.15 | 32 |
| 3 -1 1 | 1.957 | 46.39 | 31 |
| 2 -3 1 | 1.584 | 58.27 | 31 |
| 3 0 4 | 1.579 | 58.45 | 33 |

Cell and atoms:
```
data_Tl2In5Sn4
_chemical_formula_sum 'Tl2 In5 Sn4'
_cell_length_a 6.466
_cell_length_b 6.498
_cell_length_c 8.236
_cell_angle_alpha 67.28
_cell_angle_beta 75.45
_cell_angle_gamma 84.88
_space_group_name_H-M_alt 'P -1'
_space_group_IT_number 2
loop_
_space_group_symop_operation_xyz
'x,y,z'
'-x,-y,-z'
loop_
_atom_site_label
_atom_site_type_symbol
_atom_site_fract_x
_atom_site_fract_y
_atom_site_fract_z
Tl1 Tl 0.193 0.409 0.360
In1 In 0.000 0.500 0.000
In2 In 0.338 0.305 0.741
In3 In 0.438 0.777 0.924
Sn1 Sn 0.089 0.982 0.193
Sn2 Sn 0.299 0.842 0.547
```

***

(8)
Structure and simulated X-ray diffraction stick pattern of Tl10In6Sn (the GGA-PBE geometry in Alexandria; Cu Kα X-rays).
Lines closer than 0.1° are merged.

Peak list (10 most intense, 2θ from 10° to 90°, in order of rising 2θ)
| index | d (Å) | 2θ/deg | I/Imax |
| --- | --- | --- | --- |
| 2 -1 1 | 3.851 | 23.10 | 10 |
| 1 1 2 | 2.737 | 32.72 | 100 |
| 3 0 0 | 2.709 | 33.07 | 93 |
| 4 -2 2 | 1.925 | 47.21 | 34 |
| 2 -1 4 | 1.586 | 58.17 | 19 |
| 4 1 2 | 1.569 | 58.84 | 33 |
| 3 3 0 | 1.564 | 59.07 | 15 |
| 2 2 4 | 1.369 | 68.57 | 11 |
| 5 -1 4 | 1.221 | 78.27 | 14 |
| 7 -2 2 | 1.214 | 78.85 | 12 |

Cell and atoms:
```
data_Tl10In6Sn
_chemical_formula_sum 'Tl10 In6 Sn1'
_cell_length_a 9.3837
_cell_length_b 9.3837
_cell_length_c 6.7398
_cell_angle_alpha 90.00
_cell_angle_beta 90.00
_cell_angle_gamma 120.00
_space_group_name_H-M_alt 'P -3 1 m'
_space_group_IT_number 162
_space_group_name_Hall '-P 3 2'
loop_
_atom_site_label
_atom_site_type_symbol
_atom_site_fract_x
_atom_site_fract_y
_atom_site_fract_z
Tl1 Tl 0.0000 0.3068 0.3391
Tl2 Tl 0.3333 0.6667 0.0000
Tl3 Tl 0.3333 0.6667 0.5000
In1 In 0.0000 0.3384 0.8402
Sn1 Sn 0.0000 0.0000 0.0000
```